The following is a computed powder X-ray diffraction pattern of La8Nd5Al. It was derived from a structure optimized by DFT (PBE), using Cu Ka.
Kinematic intensities with the Lorentz-polarization factor, no thermal factor.

Principal peaks in the range 10° ≤ 2θ ≤ 90°, by intensity:
d [Å], 2θ (°), Rel. int.
3.259, 27.4, 100
2.767, 32.4, 71
2.679, 33.4, 68
2.919, 30.6, 61
3.310, 26.9, 37
3.438, 25.9, 36
2.550, 35.2, 26
2.446, 36.7, 25
2.874, 31.1, 21
2.041, 44.4, 18

Structural model:
Lattice parameters (Å, degrees): 8.6919 8.6919 10.4620 126.97 126.97 63.28
Element x y z (fractional)
La: 0.0267 0.0267 0.1875
La: 0.2249 0.4537 0.8662
La: 0.4885 0.0204 0.9125
La: 0.4933 0.1896 0.5961
La: 0.5463 0.7751 0.1338
La: 0.8104 0.5067 0.4039
La: 0.9733 0.9733 0.8125
La: 0.9796 0.5115 0.0875
Nd: 0.2484 0.6373 0.5995
Nd: 0.3627 0.7516 0.4005
Nd: 0.4240 0.2631 0.2861
Nd: 0.7369 0.5760 0.7139
Nd: 0.9430 0.0570 0.5000
Al: 0.6926 0.3074 0.0000